Entry 1:
# Th3O
Simulated X-ray diffraction stick pattern, Cu Kα (λ = 1.5418 Å). Input: a structure optimized by DFT (GGA-PBE).

Most intense lines, 10° ≤ 2θ ≤ 90°, in order of rising 2θ:
2θ (°), Rel. int., index
17.47, 9.5, 0 0 2
21.58, 23.6, 1 0 1
28.01, 6.3, 1 1 0
33.20, 100.0, 1 1 2
35.36, 19.4, 0 0 4
40.03, 27.8, 2 0 0
45.92, 7.0, 2 1 1
54.47, 23.0, 2 0 4
57.90, 9.6, 2 2 0
62.11, 15.6, 1 1 6
68.40, 24.6, 3 1 2
69.70, 11.1, 2 2 4

Cell and atoms:
```
data_Th3O
_cell_length_a 4.5048
_cell_length_b 4.5048
_cell_length_c 10.1525
_cell_angle_alpha 90.00
_cell_angle_beta 90.00
_cell_angle_gamma 90.00
_symmetry_space_group_name_H-M 'I 4/m m m'
_symmetry_Int_Tables_number 139
_symmetry_space_group_name_Hall '-I 4 2'
loop_
_atom_site_label
_atom_site_fract_x
_atom_site_fract_y
_atom_site_fract_z
_atom_site_occupancy
Th1 0.0000 0.0000 0.0000 1
Th2 0.0000 0.5000 0.2500 1
O1 0.0000 0.0000 0.5000 1
```


Entry 2:
# ThU8O18
Simulated X-ray diffraction stick pattern, Cu Kα (λ = 1.5418 Å). Input: a structure optimized by DFT (GGA-PBE).

Most intense lines, 10° ≤ 2θ ≤ 90°, in order of rising 2θ:
2θ (°), Rel. int., index
28.39, 100.0, 2 0 1
32.90, 37.3, 1 1 3
47.22, 49.3, 3 2 2
56.02, 47.2, 4 1 0
58.75, 10.7, 4 0 2
68.99, 7.9, 2 2 6
76.22, 20.1, 5 2 3
78.58, 15.3, 5 3 1
87.84, 17.6, 6 1 1

Cell and atoms:
```
data_ThU8O18
_cell_length_a 6.6685
_cell_length_b 6.6686
_cell_length_c 8.6083
_cell_angle_alpha 75.04
_cell_angle_beta 82.58
_cell_angle_gamma 80.40
_symmetry_space_group_name_H-M 'P -1'
_symmetry_Int_Tables_number 2
_symmetry_space_group_name_Hall '-P 1'
loop_
_atom_site_label
_atom_site_fract_x
_atom_site_fract_y
_atom_site_fract_z
_atom_site_occupancy
Th1 0.0000 0.0000 0.0000 1
U1 0.1126 0.5559 0.7754 1
U2 0.2236 0.1114 0.5528 1
U3 0.3347 0.6656 0.3344 1
U4 0.4437 0.2245 0.1118 1
O1 0.0003 0.2548 0.7454 1
O2 0.1107 0.8053 0.5279 1
O3 0.1139 0.3104 0.0285 1
O4 0.2232 0.3602 0.3067 1
O5 0.2262 0.8588 0.8021 1
O6 0.3341 0.4173 0.5830 1
O7 0.3385 0.9147 0.0855 1
O8 0.4441 0.9716 0.3624 1
O9 0.4456 0.4726 0.8606 1
```